No. 1
Simulated XRD peak list of Zr3CuC2 for Cu Kα (λ = 1.5418 Å), from a GGA-PBE-relaxed structure.
Kinematic intensities with the Lorentz-polarization factor, no thermal factor.

Top 10 peaks for 15 to 90 degrees two-theta, by angle:
| two_theta | I (rel.) |
| --- | --- |
| 31.15 | 32 |
| 36.43 | 100 |
| 38.60 | 17 |
| 39.30 | 35 |
| 50.16 | 6 |
| 54.36 | 15 |
| 54.72 | 31 |
| 67.53 | 15 |
| 68.43 | 8 |
| 68.95 | 18 |

Structural model:
Lattice parameters (Å, degrees): 3.3550 3.3550 18.6594 90.00 90.00 120.00
Fractional coordinates of all 12 atoms:
Zr (0.0000, 0.0000, 0.0000)
Zr (0.0000, 0.0000, 0.5000)
Zr (0.3333, 0.6667, 0.1405)
Zr (0.3333, 0.6667, 0.3595)
Zr (0.6667, 0.3333, 0.6405)
Zr (0.6667, 0.3333, 0.8595)
Cu (0.0000, 0.0000, 0.2500)
Cu (0.0000, 0.0000, 0.7500)
C (0.3333, 0.6667, 0.5757)
C (0.3333, 0.6667, 0.9243)
C (0.6667, 0.3333, 0.0757)
C (0.6667, 0.3333, 0.4243)


No. 2
Simulated XRD peak list of Dy2C5 for Cu Kα (λ = 1.5418 Å), from a GGA-PBE-relaxed structure.
Kinematic intensities with the Lorentz-polarization factor, no thermal factor.

Top 10 peaks for 15 to 90 degrees two-theta, by angle:
| two_theta | I (rel.) |
| --- | --- |
| 25.16 | 91 |
| 27.10 | 32 |
| 29.44 | 38 |
| 37.31 | 100 |
| 40.44 | 34 |
| 41.43 | 21 |
| 49.69 | 20 |
| 57.51 | 23 |
| 59.28 | 22 |
| 62.22 | 16 |

Structural model:
Lattice parameters (Å, degrees): 4.9785 4.9785 4.9785 128.08 104.89 97.25
Fractional coordinates of all 7 atoms:
Dy (0.2484, 0.2484, 0.0000)
Dy (0.7516, 0.7516, 0.0000)
C (0.0000, 0.5000, 0.5000)
C (0.2166, 0.5000, 0.7166)
C (0.3917, 0.0000, 0.3917)
C (0.6083, 0.0000, 0.6083)
C (0.7834, 0.5000, 0.2834)


No. 3
Simulated XRD peak list of Dy2C3 for Cu Kα (λ = 1.5418 Å), from a GGA-PBE-relaxed structure.
Kinematic intensities with the Lorentz-polarization factor, no thermal factor.

Top 10 peaks for 15 to 90 degrees two-theta, by angle:
| two_theta | I (rel.) |
| --- | --- |
| 26.57 | 48 |
| 30.78 | 100 |
| 34.52 | 98 |
| 41.10 | 50 |
| 52.21 | 28 |
| 57.16 | 65 |
| 61.84 | 28 |
| 74.89 | 19 |
| 87.16 | 21 |
| 89.18 | 16 |

Structural model:
Lattice parameters (Å, degrees): 7.1166 7.1166 7.1166 109.47 109.47 109.47
Fractional coordinates of all 20 atoms:
Dy (0.0000, 0.3989, 0.5000)
Dy (0.0000, 0.8989, 0.5000)
Dy (0.1011, 0.1011, 0.1011)
Dy (0.3989, 0.5000, 0.0000)
Dy (0.5000, 0.0000, 0.3989)
Dy (0.5000, 0.0000, 0.8989)
Dy (0.6011, 0.6011, 0.6011)
Dy (0.8989, 0.5000, 0.0000)
C (0.0435, 0.7500, 0.7935)
C (0.2065, 0.7500, 0.9565)
C (0.2500, 0.5435, 0.2935)
C (0.2500, 0.7065, 0.4565)
C (0.2935, 0.2500, 0.5435)
C (0.4565, 0.2500, 0.7065)
C (0.5435, 0.2935, 0.2500)
C (0.7065, 0.4565, 0.2500)
C (0.7500, 0.7935, 0.0435)
C (0.7500, 0.9565, 0.2065)
C (0.7935, 0.0435, 0.7500)
C (0.9565, 0.2065, 0.7500)


No. 4
Simulated XRD peak list of DyC8 for Cu Kα (λ = 1.5418 Å), from a GGA-PBE-relaxed structure.
Kinematic intensities with the Lorentz-polarization factor, no thermal factor.

Top 10 peaks for 15 to 90 degrees two-theta, by angle:
| two_theta | I (rel.) |
| --- | --- |
| 20.48 | 100 |
| 29.26 | 85 |
| 35.86 | 25 |
| 41.75 | 32 |
| 46.94 | 35 |
| 47.22 | 23 |
| 56.11 | 14 |
| 56.44 | 13 |
| 60.45 | 21 |
| 72.54 | 13 |

Structural model:
Lattice parameters (Å, degrees): 5.0078 5.0078 4.2960 90.00 90.00 120.00
Fractional coordinates of all 9 atoms:
Dy (0.0000, 0.0000, 0.0000)
C (0.1680, 0.3360, 0.5000)
C (0.1680, 0.8320, 0.5000)
C (0.3333, 0.6667, 0.5000)
C (0.3360, 0.1680, 0.5000)
C (0.6640, 0.8320, 0.5000)
C (0.6667, 0.3333, 0.5000)
C (0.8320, 0.1680, 0.5000)
C (0.8320, 0.6640, 0.5000)


No. 5
Simulated XRD peak list of DyErC2I2 for Cu Kα (λ = 1.5418 Å), from a GGA-PBE-relaxed structure.
Kinematic intensities with the Lorentz-polarization factor, no thermal factor.

Top 10 peaks for 15 to 90 degrees two-theta, by angle:
| two_theta | I (rel.) |
| --- | --- |
| 26.04 | 51 |
| 28.46 | 78 |
| 30.09 | 22 |
| 30.23 | 43 |
| 31.02 | 100 |
| 36.12 | 31 |
| 40.32 | 22 |
| 41.11 | 28 |
| 44.04 | 45 |
| 55.74 | 23 |

Structural model:
Lattice parameters (Å, degrees): 4.1281 4.1281 11.2053 93.02 93.02 56.03
Fractional coordinates of all 6 atoms:
Dy (0.0000, 0.0000, 0.0000)
Er (0.7090, 0.7090, 0.7571)
C (0.2770, 0.2770, 0.9049)
C (0.4331, 0.4331, 0.8487)
I (0.0314, 0.0314, 0.5703)
I (0.6789, 0.6789, 0.1883)


No. 6
Simulated XRD peak list of Dy2Er2CI5 for Cu Kα (λ = 1.5418 Å), from a GGA-PBE-relaxed structure.
Kinematic intensities with the Lorentz-polarization factor, no thermal factor.

Top 10 peaks for 15 to 90 degrees two-theta, by angle:
| two_theta | I (rel.) |
| --- | --- |
| 27.62 | 14 |
| 28.61 | 40 |
| 29.95 | 22 |
| 30.83 | 100 |
| 32.99 | 39 |
| 38.46 | 16 |
| 42.31 | 15 |
| 42.42 | 22 |
| 42.69 | 23 |
| 45.95 | 19 |

Structural model:
Lattice parameters (Å, degrees): 9.7857 9.7857 8.5437 102.12 102.12 23.29
Fractional coordinates of all 10 atoms:
Dy (0.0007, 0.0007, 0.3101)
Dy (0.9993, 0.9993, 0.6899)
Er (0.3733, 0.3733, 0.4371)
Er (0.6267, 0.6267, 0.5629)
C (0.5000, 0.5000, 0.5000)
I (0.1631, 0.1631, 0.8370)
I (0.1669, 0.1669, 0.3246)
I (0.5000, 0.5000, 0.0000)
I (0.8331, 0.8331, 0.6754)
I (0.8369, 0.8369, 0.1630)


No. 7
Simulated XRD peak list of Dy2Er2CI5 for Cu Kα (λ = 1.5418 Å), from a GGA-PBE-relaxed structure.
Kinematic intensities with the Lorentz-polarization factor, no thermal factor.

Top 10 peaks for 15 to 90 degrees two-theta, by angle:
| two_theta | I (rel.) |
| --- | --- |
| 27.68 | 17 |
| 28.80 | 43 |
| 30.05 | 24 |
| 30.83 | 100 |
| 33.13 | 37 |
| 35.60 | 16 |
| 42.59 | 25 |
| 42.80 | 24 |
| 46.06 | 19 |
| 55.23 | 14 |

Structural model:
Lattice parameters (Å, degrees): 9.7314 9.7314 8.5641 102.33 102.33 23.37
Fractional coordinates of all 10 atoms:
Dy (0.1287, 0.1287, 0.0638)
Dy (0.8713, 0.8713, 0.9362)
Er (0.4995, 0.4995, 0.1869)
Er (0.5005, 0.5005, 0.8131)
C (0.0000, 0.0000, 0.0000)
I (0.0000, 0.0000, 0.5000)
I (0.3342, 0.3342, 0.1806)
I (0.3382, 0.3382, 0.6590)
I (0.6618, 0.6618, 0.3410)
I (0.6658, 0.6658, 0.8194)


No. 8
Simulated XRD peak list of DyErInC for Cu Kα (λ = 1.5418 Å), from a GGA-PBE-relaxed structure.
Kinematic intensities with the Lorentz-polarization factor, no thermal factor.

Top 10 peaks for 15 to 90 degrees two-theta, by angle:
| two_theta | I (rel.) |
| --- | --- |
| 28.81 | 22 |
| 32.96 | 22 |
| 33.28 | 100 |
| 44.33 | 16 |
| 51.04 | 21 |
| 59.07 | 19 |
| 62.11 | 21 |
| 62.31 | 16 |
| 81.79 | 8 |
| 84.63 | 14 |

Structural model:
Lattice parameters (Å, degrees): 3.5787 3.5787 16.3038 90.00 90.00 120.00
Fractional coordinates of all 8 atoms:
Dy (0.3333, 0.6667, 0.4166)
Dy (0.6667, 0.3333, 0.5834)
Er (0.3333, 0.6667, 0.0819)
Er (0.6667, 0.3333, 0.9181)
In (0.3333, 0.6667, 0.7515)
In (0.6667, 0.3333, 0.2485)
C (0.0000, 0.0000, 0.0000)
C (0.0000, 0.0000, 0.5000)


No. 9
Simulated XRD peak list of DyErSi2Mo2C for Cu Kα (λ = 1.5418 Å), from a GGA-PBE-relaxed structure.
Kinematic intensities with the Lorentz-polarization factor, no thermal factor.

Top 10 peaks for 15 to 90 degrees two-theta, by angle:
| two_theta | I (rel.) |
| --- | --- |
| 25.08 | 21 |
| 25.45 | 27 |
| 31.40 | 45 |
| 32.75 | 17 |
| 33.07 | 32 |
| 33.83 | 89 |
| 35.52 | 100 |
| 40.03 | 30 |
| 47.93 | 25 |
| 64.19 | 23 |

Structural model:
Lattice parameters (Å, degrees): 5.8820 5.8820 7.1194 123.46 123.46 37.65
Fractional coordinates of all 7 atoms:
Dy (0.0000, 0.0000, 0.0000)
Er (0.1496, 0.1496, 0.5908)
Si (0.4442, 0.4442, 0.6327)
Si (0.7059, 0.7059, 0.9583)
Mo (0.3692, 0.3692, 0.2114)
Mo (0.7813, 0.7813, 0.3814)
C (0.5757, 0.5757, 0.2977)


No. 10
Simulated XRD peak list of DyErCN2O2 for Cu Kα (λ = 1.5418 Å), from a GGA-PBE-relaxed structure.
Kinematic intensities with the Lorentz-polarization factor, no thermal factor.

Top 10 peaks for 15 to 90 degrees two-theta, by angle:
| two_theta | I (rel.) |
| --- | --- |
| 21.88 | 19 |
| 27.99 | 17 |
| 30.12 | 100 |
| 33.08 | 19 |
| 35.81 | 44 |
| 43.87 | 20 |
| 49.53 | 28 |
| 53.50 | 25 |
| 59.07 | 15 |
| 60.86 | 20 |

Structural model:
Lattice parameters (Å, degrees): 3.6804 3.6804 8.1235 90.00 90.00 120.00
Fractional coordinates of all 7 atoms:
Dy (0.0000, 0.0000, 0.0000)
Er (0.3333, 0.6667, 0.3538)
C (0.6667, 0.3333, 0.6762)
N (0.6667, 0.3333, 0.5242)
N (0.6667, 0.3333, 0.8283)
O (0.0000, 0.0000, 0.2820)
O (0.3333, 0.6667, 0.0762)


No. 11
Simulated XRD peak list of DyErCSe for Cu Kα (λ = 1.5418 Å), from a GGA-PBE-relaxed structure.
Kinematic intensities with the Lorentz-polarization factor, no thermal factor.

Top 10 peaks for 15 to 90 degrees two-theta, by angle:
| two_theta | I (rel.) |
| --- | --- |
| 27.54 | 29 |
| 28.38 | 13 |
| 34.38 | 100 |
| 41.02 | 10 |
| 48.70 | 28 |
| 50.13 | 10 |
| 56.47 | 9 |
| 60.97 | 19 |
| 65.52 | 15 |
| 81.65 | 17 |

Structural model:
Lattice parameters (Å, degrees): 3.7392 3.7392 13.2012 90.00 90.00 120.00
Fractional coordinates of all 8 atoms:
Dy (0.3333, 0.6667, 0.3988)
Dy (0.6667, 0.3333, 0.6012)
Er (0.3333, 0.6667, 0.0988)
Er (0.6667, 0.3333, 0.9012)
C (0.0000, 0.0000, 0.0000)
C (0.0000, 0.0000, 0.5000)
Se (0.3333, 0.6667, 0.7524)
Se (0.6667, 0.3333, 0.2476)


No. 12
Simulated XRD peak list of Dy4CI3F2 for Cu Kα (λ = 1.5418 Å), from a GGA-PBE-relaxed structure.
Kinematic intensities with the Lorentz-polarization factor, no thermal factor.

Top 10 peaks for 15 to 90 degrees two-theta, by angle:
| two_theta | I (rel.) |
| --- | --- |
| 23.91 | 33 |
| 29.86 | 31 |
| 31.21 | 43 |
| 32.24 | 100 |
| 32.65 | 30 |
| 34.90 | 26 |
| 35.17 | 26 |
| 36.39 | 27 |
| 37.83 | 25 |
| 42.49 | 25 |

Structural model:
Lattice parameters (Å, degrees): 8.8208 8.8208 8.2491 93.32 93.32 24.92
Fractional coordinates of all 10 atoms:
Dy (0.0042, 0.0042, 0.3066)
Dy (0.3629, 0.3629, 0.4439)
Dy (0.6371, 0.6371, 0.5561)
Dy (0.9958, 0.9958, 0.6934)
C (0.5000, 0.5000, 0.5000)
I (0.1853, 0.1853, 0.2824)
I (0.5000, 0.5000, 0.0000)
I (0.8147, 0.8147, 0.7176)
F (0.1321, 0.1321, 0.7179)
F (0.8679, 0.8679, 0.2821)


No. 13
Simulated XRD peak list of Dy4CI2F3 for Cu Kα (λ = 1.5418 Å), from a GGA-PBE-relaxed structure.
Kinematic intensities with the Lorentz-polarization factor, no thermal factor.

Top 10 peaks for 15 to 90 degrees two-theta, by angle:
| two_theta | I (rel.) |
| --- | --- |
| 25.20 | 23 |
| 28.13 | 49 |
| 28.44 | 21 |
| 31.61 | 58 |
| 32.56 | 27 |
| 34.88 | 18 |
| 36.14 | 100 |
| 36.52 | 25 |
| 45.88 | 25 |
| 50.24 | 20 |

Structural model:
Lattice parameters (Å, degrees): 8.7028 8.7028 6.9051 92.99 92.99 24.09
Fractional coordinates of all 10 atoms:
Dy (0.0064, 0.0064, 0.2642)
Dy (0.3604, 0.3604, 0.4368)
Dy (0.6396, 0.6396, 0.5632)
Dy (0.9936, 0.9936, 0.7358)
C (0.5000, 0.5000, 0.5000)
I (0.1871, 0.1871, 0.2305)
I (0.8129, 0.8129, 0.7695)
F (0.1287, 0.1287, 0.7737)
F (0.5000, 0.5000, 0.0000)
F (0.8713, 0.8713, 0.2263)


No. 14
Simulated XRD peak list of NdDyCF2 for Cu Kα (λ = 1.5418 Å), from a GGA-PBE-relaxed structure.
Kinematic intensities with the Lorentz-polarization factor, no thermal factor.

Top 10 peaks for 15 to 90 degrees two-theta, by angle:
| two_theta | I (rel.) |
| --- | --- |
| 27.70 | 59 |
| 31.07 | 100 |
| 39.57 | 39 |
| 49.06 | 31 |
| 51.10 | 30 |
| 57.25 | 26 |
| 59.21 | 17 |
| 64.66 | 10 |
| 73.55 | 9 |
| 80.38 | 14 |

Structural model:
Lattice parameters (Å, degrees): 3.7139 3.7139 6.4498 90.00 90.00 120.00
Fractional coordinates of all 5 atoms:
Nd (0.0000, 0.0000, 0.0000)
Dy (0.3333, 0.6667, 0.5691)
C (0.6667, 0.3333, 0.7814)
F (0.0000, 0.0000, 0.4154)
F (0.3333, 0.6667, 0.1925)